This entry pairs a crystal structure of La5Tb2TmTh with its computed X-ray powder pattern. Radiation: Cu Kα. Structure: a cell relaxed with GGA-PBE.
Lines closer than 0.1° are merged.

Peak list (12 most intense, 5° ≤ 2θ ≤ 70°, low angle first)
11.62°, rel. 10.4
26.29°, rel. 13.1
30.16°, rel. 14.8
31.11°, rel. 100.0
32.45°, rel. 44.3
33.02°, rel. 7.3
33.55°, rel. 19.4
47.39°, rel. 14.7
47.80°, rel. 10.2
57.09°, rel. 19.7
58.46°, rel. 12.2
60.48°, rel. 9.9

Structure:
```
data_La5Tb2TmTh
_space_group_name_H-M_alt 'C m c m'
_space_group_IT_number 63
_space_group_name_Hall '-C 2c 2'
_cell_length_a 5.513
_cell_length_b 21.705
_cell_length_c 10.683
_cell_angle_alpha 90.00
_cell_angle_beta 90.00
_cell_angle_gamma 90.00
loop_
_atom_site_label
_atom_site_type_symbol
_atom_site_fract_x
_atom_site_fract_y
_atom_site_fract_z
_atom_site_occupancy
La1 La 0.000 0.000 0.000 1
La2 La 0.000 0.129 0.250 1
La3 La 0.000 0.223 0.558 1
La4 La 0.000 0.499 0.250 1
Tb1 Tb 0.000 0.388 0.004 1
Tm1 Tm 0.000 0.103 0.750 1
Th1 Th 0.000 0.290 0.250 1
```

---

This entry pairs a crystal structure of LaTb2TmTh with its computed X-ray powder pattern. Radiation: Cu Kα. Structure: a cell relaxed with GGA-PBE.
Lines closer than 0.1° are merged.

Peak list (12 most intense, 5° ≤ 2θ ≤ 70°, low angle first)
15.61°, rel. 11.6
20.34°, rel. 13.2
25.75°, rel. 10.4
30.72°, rel. 10.8
31.57°, rel. 100.0
32.65°, rel. 14.8
34.64°, rel. 19.9
36.39°, rel. 16.4
46.03°, rel. 11.6
56.18°, rel. 14.2
61.48°, rel. 17.4
63.92°, rel. 10.5

Structure:
```
data_LaTb2TmTh
_space_group_name_H-M_alt 'P m m m'
_space_group_IT_number 47
_cell_length_a 3.524
_cell_length_b 5.675
_cell_length_c 8.731
_cell_angle_alpha 90.00
_cell_angle_beta 90.00
_cell_angle_gamma 90.00
loop_
_space_group_symop_operation_xyz
'x,y,z'
'-x,-y,-z'
'-x,-y,z'
'x,y,-z'
'x,-y,-z'
'-x,y,z'
'-x,y,-z'
'x,-y,z'
loop_
_atom_site_label
_atom_site_type_symbol
_atom_site_fract_x
_atom_site_fract_y
_atom_site_fract_z
_atom_site_occupancy
La1 La 0.000 0.000 0.000 1
Tb1 Tb 0.000 0.500 0.322 1
Tm1 Tm 0.500 0.000 0.500 1
Th1 Th 0.500 0.500 0.000 1
```

---

This entry pairs a crystal structure of LaTbTm3Th with its computed X-ray powder pattern. Radiation: Cu Kα. Structure: a cell relaxed with GGA-PBE.
Lines closer than 0.1° are merged.

Peak list (12 most intense, 5° ≤ 2θ ≤ 70°, low angle first)
25.24°, rel. 18.6
30.25°, rel. 28.0
30.62°, rel. 100.0
31.30°, rel. 19.5
31.82°, rel. 52.8
32.98°, rel. 52.6
35.95°, rel. 22.3
41.04°, rel. 10.5
45.23°, rel. 16.2
55.93°, rel. 23.9
57.45°, rel. 17.6
62.11°, rel. 10.4

Structure:
```
data_LaTbTm3Th
_space_group_name_H-M_alt 'C 1 2/m 1'
_space_group_IT_number 12
_cell_length_a 19.515
_cell_length_b 5.625
_cell_length_c 7.057
_cell_angle_alpha 90.00
_cell_angle_beta 90.10
_cell_angle_gamma 90.00
loop_
_space_group_symop_operation_xyz
'x,y,z'
'-x,-y,-z'
'-x,y,-z'
'x,-y,z'
'x+1/2,y+1/2,z'
'-x+1/2,-y+1/2,-z'
'-x+1/2,y+1/2,-z'
'x+1/2,-y+1/2,z'
loop_
_atom_site_label
_atom_site_type_symbol
_atom_site_fract_x
_atom_site_fract_y
_atom_site_fract_z
_atom_site_occupancy
La1 La 0.146 0.000 0.456 1
Tb1 Tb 0.149 0.000 0.036 1
Tm1 Tm 0.024 0.000 0.758 1
Tm2 Tm 0.158 0.500 0.762 1
Tm3 Tm 0.221 0.500 0.251 1
Th1 Th 0.052 0.500 0.223 1
```

---

What did the second record say?
This entry pairs a crystal structure of LaTb2TmTh with its computed X-ray powder pattern. Radiation: Cu Kα. Structure: a cell relaxed with GGA-PBE.
Lines closer than 0.1° are merged.

Peak list (12 most intense, 5° ≤ 2θ ≤ 70°, low angle first)
15.61°, rel. 11.6
20.34°, rel. 13.2
25.75°, rel. 10.4
30.72°, rel. 10.8
31.57°, rel. 100.0
32.65°, rel. 14.8
34.64°, rel. 19.9
36.39°, rel. 16.4
46.03°, rel. 11.6
56.18°, rel. 14.2
61.48°, rel. 17.4
63.92°, rel. 10.5

Structure:
```
data_LaTb2TmTh
_space_group_name_H-M_alt 'P m m m'
_space_group_IT_number 47
_cell_length_a 3.524
_cell_length_b 5.675
_cell_length_c 8.731
_cell_angle_alpha 90.00
_cell_angle_beta 90.00
_cell_angle_gamma 90.00
loop_
_space_group_symop_operation_xyz
'x,y,z'
'-x,-y,-z'
'-x,-y,z'
'x,y,-z'
'x,-y,-z'
'-x,y,z'
'-x,y,-z'
'x,-y,z'
loop_
_atom_site_label
_atom_site_type_symbol
_atom_site_fract_x
_atom_site_fract_y
_atom_site_fract_z
_atom_site_occupancy
La1 La 0.000 0.000 0.000 1
Tb1 Tb 0.000 0.500 0.322 1
Tm1 Tm 0.500 0.000 0.500 1
Th1 Th 0.500 0.500 0.000 1
```